The following is a theoretical powder diffractogram of LiNiP3O9. It was derived from DFT lattice parameters and positions (PBE+U), using CuKα.
Kinematic intensities with the Lorentz-polarization factor, no thermal factor.

Structural model:
```
data_LiNiP3O9
_chemical_formula_sum 'Li4 Ni4 P12 O36'
_space_group_name_H-M_alt 'P 1'
_space_group_IT_number 1
_cell_length_a 8.422
_cell_length_b 8.588
_cell_length_c 8.694
_cell_angle_alpha 90.00
_cell_angle_beta 90.00
_cell_angle_gamma 90.00
loop_
_space_group_symop_operation_xyz
'x,y,z'
loop_
_atom_site_label
_atom_site_type_symbol
_atom_site_fract_x
_atom_site_fract_y
_atom_site_fract_z
Li1 Li 0.152 0.134 0.117
Li2 Li 0.348 0.866 0.617
Li3 Li 0.652 0.366 0.883
Li4 Li 0.848 0.634 0.383
Ni1 Ni 0.130 0.854 0.343
Ni2 Ni 0.370 0.146 0.843
Ni3 Ni 0.630 0.646 0.657
Ni4 Ni 0.870 0.354 0.157
P1 P 0.030 0.321 0.817
P2 P 0.184 0.479 0.310
P3 P 0.203 0.811 0.942
P4 P 0.297 0.189 0.442
P5 P 0.316 0.521 0.810
P6 P 0.470 0.679 0.317
P7 P 0.530 0.179 0.183
P8 P 0.684 0.021 0.690
P9 P 0.703 0.689 0.058
P10 P 0.797 0.311 0.558
P11 P 0.816 0.979 0.190
P12 P 0.970 0.821 0.683
O1 O 0.040 0.774 0.848
O2 O 0.090 0.615 0.367
O3 O 0.104 0.873 0.580
O4 O 0.116 0.384 0.180
O5 O 0.134 0.192 0.878
O6 O 0.140 0.466 0.763
O7 O 0.160 0.863 0.100
O8 O 0.189 0.090 0.345
O9 O 0.224 0.363 0.453
O10 O 0.276 0.637 0.953
O11 O 0.311 0.910 0.845
O12 O 0.340 0.137 0.600
O13 O 0.360 0.534 0.263
O14 O 0.366 0.808 0.378
O15 O 0.384 0.616 0.680
O16 O 0.396 0.127 0.080
O17 O 0.410 0.385 0.867
O18 O 0.460 0.226 0.348
O19 O 0.540 0.726 0.152
O20 O 0.590 0.885 0.633
O21 O 0.604 0.627 0.420
O22 O 0.616 0.116 0.820
O23 O 0.634 0.308 0.122
O24 O 0.640 0.034 0.237
O25 O 0.660 0.637 0.900
O26 O 0.689 0.410 0.655
O27 O 0.724 0.137 0.547
O28 O 0.776 0.863 0.047
O29 O 0.811 0.590 0.155
O30 O 0.840 0.363 0.400
O31 O 0.860 0.966 0.737
O32 O 0.866 0.692 0.622
O33 O 0.884 0.884 0.320
O34 O 0.896 0.373 0.920
O35 O 0.910 0.115 0.133
O36 O 0.960 0.274 0.652
```

Top 6 peaks for 10 to 90 degrees two-theta, by angle:
2theta, I (rel.), h k l
23.02, 100, 1 0 2
23.25, 78, 1 2 0
25.69, 35, 2 1 1
32.61, 35, 0 1 3
33.05, 44, 1 3 0
33.55, 37, 3 0 1